No. 1
# CsAuI3
Calculated PXRD pattern, Cu Ka. Input: the GGA-PBE geometry in Alexandria.
Neutral-atom scattering factors, no anomalous dispersion.

```
20
Lattice="8.7010 0.0000 0.0000 0.0000 11.5424 0.0000 0.0000 0.0000 8.7602" Properties=species:S:1:pos:R:3 pbc="T T T"
Cs 0.0068 2.8856 0.0228
Cs 4.3437 8.6568 4.4029
Cs 4.3573 2.8856 4.3573
Cs 8.6942 8.6568 8.7375
Au 0.0000 0.0000 4.3801
Au 0.0000 5.7712 4.3801
Au 4.3505 0.0000 0.0000
Au 4.3505 5.7712 0.0000
I 0.0258 2.8856 4.3492
I 1.8928 5.7989 2.5060
I 1.8928 11.5146 2.5060
I 2.4577 0.0277 6.8861
I 2.4577 5.7434 6.8861
I 4.3247 8.6568 8.7293
I 4.3763 2.8856 0.0309
I 6.2434 5.7989 1.8741
I 6.2434 11.5146 1.8741
I 6.8082 0.0277 6.2542
I 6.8082 5.7434 6.2542
I 8.6752 8.6568 4.4110
```

The 10 most intense peaks (10° ≤ 2θ ≤ 90°), by angle:
- 2θ 14.35, rel. 48.7
- 2θ 15.35, rel. 18.6
- 2θ 21.07, rel. 44.5
- 2θ 25.53, rel. 25.8
- 2θ 25.64, rel. 26.4
- 2θ 28.93, rel. 100.0
- 2θ 30.99, rel. 47.5
- 2θ 41.51, rel. 16.8
- 2θ 42.90, rel. 70.6
- 2θ 52.45, rel. 16.9


No. 2
# ZrPa2NiN5
Calculated PXRD pattern, Cu Ka. Input: the GGA-PBE geometry in Alexandria.
Neutral-atom scattering factors, no anomalous dispersion.

```
18
Lattice="1.6490 -6.6060 0.0000 1.6490 6.6060 0.0000 0.0000 0.0000 10.2000" Properties=species:S:1:pos:R:3 pbc="T T T"
Zr 1.6490 4.0784 5.1000
Zr 1.6490 -4.0784 0.0000
Pa 1.6490 5.0863 1.8458
Pa 1.6490 4.8336 8.1733
Pa 1.6490 -4.8336 3.0733
Pa 1.6490 -5.0863 6.9458
Ni 1.6490 0.1135 9.9505
Ni 1.6490 -0.1135 4.8505
N 1.6490 6.0820 5.8832
N 1.6490 2.7815 1.6167
N 1.6490 2.5273 8.6505
N 1.6490 1.8836 5.1231
N 1.6490 0.1223 2.9005
N 1.6490 -0.1223 8.0005
N 1.6490 -1.8836 0.0231
N 1.6490 -2.5273 3.5505
N 1.6490 -2.7815 6.7167
N 1.6490 -6.0820 0.7832
```

The 10 most intense peaks (10° ≤ 2θ ≤ 90°), by angle:
- 2θ 17.39, rel. 24.8
- 2θ 26.99, rel. 37.5
- 2θ 27.88, rel. 41.8
- 2θ 29.55, rel. 100.0
- 2θ 32.29, rel. 53.5
- 2θ 33.05, rel. 49.1
- 2θ 33.96, rel. 64.5
- 2θ 38.64, rel. 80.7
- 2θ 55.72, rel. 24.9
- 2θ 64.36, rel. 23.6


No. 3
# Ac2ScPbO6
Calculated PXRD pattern, Cu Ka. Input: the GGA-PBE geometry in Alexandria.
Neutral-atom scattering factors, no anomalous dispersion.

```
20
Lattice="5.9607 0.0000 0.0000 0.0000 6.2008 0.0000 -5.9464 0.0000 8.5729" Properties=species:S:1:pos:R:3 pbc="T T T"
Ac -0.0879 0.3385 2.1562
Ac -3.0611 2.7619 6.4426
Ac 3.0754 3.4389 2.1303
Ac 0.1022 5.8623 6.4168
Sc -2.9732 0.0000 4.2865
Sc 0.0000 3.1004 0.0000
Pb 2.9804 0.0000 0.0000
Pb 0.0072 3.1004 4.2865
O -4.8523 1.3321 8.0056
O -1.8791 1.7683 3.7192
O -4.2312 4.2506 8.0897
O -1.2580 5.0506 3.8033
O -2.2852 0.3071 6.2915
O 0.6880 2.7933 2.0050
O -0.6737 3.4075 6.5679
O 2.2995 5.8937 2.2814
O 1.2724 1.1502 4.7697
O 4.2456 1.9502 0.4832
O 1.8934 4.4325 4.8538
O 4.8666 4.8687 0.5673
```

The 10 most intense peaks (10° ≤ 2θ ≤ 90°), by angle:
- 2θ 28.80, rel. 20.9
- 2θ 29.43, rel. 100.0
- 2θ 29.98, rel. 23.7
- 2θ 42.05, rel. 18.9
- 2θ 42.16, rel. 12.4
- 2θ 47.77, rel. 10.7
- 2θ 51.42, rel. 12.1
- 2θ 52.59, rel. 11.8
- 2θ 52.89, rel. 22.5
- 2θ 61.07, rel. 11.2


No. 4
# Nd19Sm4Er6
Calculated PXRD pattern, Cu Ka. Input: the GGA-PBE geometry in Alexandria.
Neutral-atom scattering factors, no anomalous dispersion.

```
29
Lattice="-6.3605 6.3605 6.3605 6.3605 -6.3605 6.3605 6.3605 6.3605 -6.3605" Properties=species:S:1:pos:R:3 pbc="T T T"
Nd 0.0000 0.0000 0.0000
Nd 3.3164 0.0000 0.0000
Nd 9.4047 0.0000 0.0000
Nd 5.5882 3.0050 -2.7855
Nd 9.1461 -0.7724 3.3556
Nd 3.0050 -2.7855 5.5882
Nd 0.0000 3.3164 0.0000
Nd 0.0000 0.0000 3.3164
Nd 3.5750 0.7724 3.3556
Nd 3.3556 3.5750 0.7724
Nd 7.1329 3.0050 2.7855
Nd 0.7724 3.3556 3.5750
Nd 3.3556 9.1461 -0.7724
Nd -2.7855 5.5882 3.0050
Nd 0.0000 9.4047 0.0000
Nd 0.0000 0.0000 9.4047
Nd 3.0050 2.7855 7.1329
Nd 2.7855 7.1329 3.0050
Nd -0.7724 3.3556 9.1461
Sm 2.3086 2.3086 -2.3086
Sm 2.3086 -2.3086 2.3086
Sm -2.3086 2.3086 2.3086
Sm 4.0519 4.0519 4.0519
Er 6.3605 1.5761 0.0000
Er 6.3605 0.0000 4.7845
Er 4.7845 6.3605 0.0000
Er 1.5761 0.0000 6.3605
Er 0.0000 6.3605 1.5761
Er 0.0000 4.7845 6.3605
```

The 10 most intense peaks (10° ≤ 2θ ≤ 90°), by angle:
- 2θ 26.21, rel. 50.5
- 2θ 28.06, rel. 57.7
- 2θ 29.80, rel. 100.0
- 2θ 34.54, rel. 37.4
- 2θ 36.00, rel. 74.3
- 2θ 41.39, rel. 24.9
- 2θ 46.25, rel. 18.3
- 2θ 52.89, rel. 24.9
- 2θ 58.99, rel. 28.9
- 2θ 59.96, rel. 24.7


No. 5
# Sr5Ga2Sb6
Calculated PXRD pattern, Cu Ka. Input: the GGA-PBE geometry in Alexandria.
Neutral-atom scattering factors, no anomalous dispersion.

```
26
Lattice="12.8397 0.0000 0.0000 0.0000 14.7210 0.0000 0.0000 0.0000 4.6167" Properties=species:S:1:pos:R:3 pbc="T T T"
Sr 0.0000 0.0000 0.0000
Sr 1.1659 3.6814 0.0000
Sr 2.1993 7.6332 0.0000
Sr 4.2205 0.2727 0.0000
Sr 5.2540 11.0419 0.0000
Sr 6.4198 7.3605 0.0000
Sr 7.5857 3.6792 0.0000
Sr 8.6191 14.4484 0.0000
Sr 10.6403 7.0879 0.0000
Sr 11.6738 11.0397 0.0000
Ga 2.2444 10.4544 2.3083
Ga 4.1755 3.0939 2.3083
Ga 8.6642 11.6271 2.3083
Ga 10.5953 4.2666 2.3083
Sb 0.1853 5.9257 2.3083
Sb 2.0210 1.3923 2.3083
Sb 2.0756 12.0087 0.0000
Sb 4.3442 4.6482 0.0000
Sb 4.3988 8.7528 2.3083
Sb 6.2345 13.2862 2.3083
Sb 6.6052 1.4348 2.3083
Sb 8.4408 5.9682 2.3083
Sb 8.4955 10.0728 0.0000
Sb 10.7640 2.7123 0.0000
Sb 10.8186 13.3287 2.3083
Sb 12.6543 8.7953 2.3083
```

The 10 most intense peaks (10° ≤ 2θ ≤ 90°), by angle:
- 2θ 23.78, rel. 76.7
- 2θ 27.66, rel. 51.6
- 2θ 29.09, rel. 100.0
- 2θ 30.00, rel. 81.4
- 2θ 31.08, rel. 78.1
- 2θ 33.90, rel. 54.6
- 2θ 37.06, rel. 43.6
- 2θ 39.02, rel. 72.5
- 2θ 42.09, rel. 79.9
- 2θ 60.84, rel. 42.3


No. 6
# Sr3LiRuO6
Calculated PXRD pattern, Cu Ka. Input: the GGA-PBE geometry in Alexandria.
Neutral-atom scattering factors, no anomalous dispersion.

```
22
Lattice="4.8682 2.8107 3.7403 -4.8682 2.8107 3.7403 0.0000 -5.6213 3.7403" Properties=species:S:1:pos:R:3 pbc="T T T"
Sr -3.1239 0.2106 4.6753
Sr -1.7443 -2.6001 6.5455
Sr 1.3796 -2.8107 4.6753
Sr -1.3796 2.8107 6.5455
Sr 1.7443 2.6001 4.6753
Sr 3.1239 -0.2106 6.5455
Li 0.0000 0.0000 2.8052
Li 0.0000 0.0000 8.4156
Ru 0.0000 0.0000 0.0000
Ru 0.0000 0.0000 5.6104
O -4.2348 -1.3335 6.3003
O -0.9626 -4.3342 4.9205
O -0.9626 -1.2871 4.4302
O -3.2722 3.0007 4.9205
O -0.6334 1.4772 4.4302
O -1.5960 0.1900 6.7906
O 1.5960 -0.1900 4.4302
O 0.6334 -1.4772 6.7906
O 3.2722 -3.0007 6.3003
O 0.9626 1.2872 6.7906
O 0.9626 4.3342 6.3003
O 4.2348 1.3335 4.9205
```

The 10 most intense peaks (10° ≤ 2θ ≤ 90°), by angle:
- 2θ 19.00, rel. 67.2
- 2θ 30.13, rel. 89.8
- 2θ 31.84, rel. 100.0
- 2θ 41.85, rel. 25.9
- 2θ 42.95, rel. 18.0
- 2θ 44.40, rel. 59.6
- 2θ 52.41, rel. 22.2
- 2θ 55.67, rel. 22.5
- 2θ 56.73, rel. 16.8
- 2θ 57.91, rel. 16.0


No. 7
# AgAsPbS3
Calculated PXRD pattern, Cu Ka. Input: the GGA-PBE geometry in Alexandria.
Neutral-atom scattering factors, no anomalous dispersion.

```
24
Lattice="6.0143 0.0000 0.0000 0.0000 12.7155 0.0000 -0.3315 0.0000 7.7186" Properties=species:S:1:pos:R:3 pbc="T T T"
Ag 1.3472 2.9910 3.0141
Ag 1.1814 3.3667 6.8734
Ag 4.5014 9.3488 0.8452
Ag 4.3356 9.7245 4.7046
As 1.3879 7.6575 6.4278
As 1.5537 11.4158 2.5685
As 4.1290 1.2997 5.1502
As 4.2948 5.0581 1.2909
Pb 1.3071 7.3213 2.6030
Pb 1.1413 11.7520 6.4623
Pb 4.5414 0.9635 1.2563
Pb 4.3757 5.3942 5.1156
S 0.8772 9.2091 4.8248
S 1.0430 9.8642 0.9654
S 1.4972 0.6043 1.2308
S 1.3314 5.7535 5.0902
S 1.8680 1.6735 5.0844
S 2.0337 4.6842 1.2251
S 3.6490 8.0313 6.4936
S 3.8148 11.0420 2.6342
S 4.3513 6.9620 2.6285
S 4.1855 12.1113 6.4878
S 4.6398 2.8513 6.7532
S 4.8055 3.5065 2.8939
```

The 10 most intense peaks (10° ≤ 2θ ≤ 90°), by angle:
- 2θ 23.07, rel. 27.5
- 2θ 25.72, rel. 88.4
- 2θ 26.92, rel. 28.3
- 2θ 28.01, rel. 31.3
- 2θ 29.74, rel. 66.5
- 2θ 31.35, rel. 100.0
- 2θ 43.02, rel. 37.9
- 2θ 44.48, rel. 30.5
- 2θ 50.40, rel. 24.8
- 2θ 52.87, rel. 16.7


No. 8
# SrTaAu4
Calculated PXRD pattern, Cu Ka. Input: the GGA-PBE geometry in Alexandria.
Neutral-atom scattering factors, no anomalous dispersion.

```
6
Lattice="0.0000 3.9821 3.9821 3.9821 0.0000 3.9821 3.9821 3.9821 0.0000" Properties=species:S:1:pos:R:3 pbc="T T T"
Sr 0.0000 0.0000 0.0000
Ta 5.9731 5.9731 5.9731
Au 2.9910 2.9910 2.9910
Au 4.9732 4.9732 2.9910
Au 4.9732 2.9910 4.9732
Au 2.9910 4.9732 4.9732
```

The 10 most intense peaks (10° ≤ 2θ ≤ 90°), by angle:
- 2θ 19.30, rel. 22.9
- 2θ 31.78, rel. 15.9
- 2θ 37.45, rel. 100.0
- 2θ 39.18, rel. 54.3
- 2θ 45.56, rel. 11.7
- 2θ 56.62, rel. 6.2
- 2θ 60.39, rel. 33.5
- 2θ 66.40, rel. 30.9
- 2θ 78.80, rel. 11.9
- 2θ 79.90, rel. 21.5